Structure and computed powder diffraction line list of TiCl3 (a cell relaxed with PBE; CuKα).
Neutral-atom scattering factors, no anomalous dispersion.

Top 10 peaks for 10 to 90 degrees two-theta, in order of falling intensity:
2θ (°), I/Imax
34.67, 100
13.41, 92
47.39, 30
52.22, 27
43.75, 22
30.82, 22
17.46, 17
59.73, 16
64.21, 13
19.12, 13

Structure:
Cell lengths 6.0681, 6.0681, 19.8060 Å; angles 90.00, 90.00, 120.00 degrees
Sites, in units of the cell vectors:
Ti1 0.0912 0.5456 0.0000
Ti2 0.1011 0.2023 0.6667
Ti3 0.1011 0.8989 0.3333
Ti4 0.4544 0.5456 0.3333
Ti5 0.4544 0.9088 0.6667
Ti6 0.7977 0.8989 0.0000
Cl1 0.0947 0.2211 0.9267
Cl2 0.0947 0.8736 0.0733
Cl3 0.1264 0.2211 0.4066
Cl4 0.1265 0.5554 0.7335
Cl5 0.1265 0.5710 0.2665
Cl6 0.1264 0.9053 0.5934
Cl7 0.4290 0.2054 0.7400
Cl8 0.4290 0.2236 0.2600
Cl9 0.4290 0.5554 0.5998
Cl10 0.4290 0.8735 0.4002
Cl11 0.4446 0.5710 0.0669
Cl12 0.4446 0.8735 0.9331
Cl13 0.7764 0.2054 0.5933
Cl14 0.7764 0.5710 0.4067
Cl15 0.7789 0.8736 0.2601
Cl16 0.7789 0.9053 0.7399
Cl17 0.7946 0.2236 0.0733
Cl18 0.7946 0.5710 0.9267